Simulated X-ray diffraction stick pattern of Na3TiAlSi2SO12 for Cu Kα X-rays, from a crystal structure in the Materials Project, relaxed with PBE.
Peak positions follow from Bragg's law for the DFT cell and can differ from measured ones.

The 8 most intense peaks (10° ≤ 2θ ≤ 80°), in order of rising 2θ:
2θ/deg	Rel. int.
14.16	26.9
19.99	36.2
23.55	27.1
23.60	63.4
31.23	39.7
31.88	100.0
35.27	29.2
48.21	26.3

Cell and atoms:
abc: 8.8299 8.8299 8.8831
angles: 119.78 119.78 59.85
Fractional positions:
Na  0.0654  0.9346  0.5000
Na  0.1740  0.6902  0.7556
Na  0.2987  0.4402  0.0083
Na  0.4402  0.2987  0.5083
Na  0.6902  0.1740  0.2556
Na  0.9346  0.0654  0.0000
Ti  0.3270  0.8611  0.2022
Ti  0.8611  0.3270  0.7022
Al  0.0343  0.5471  0.3200
Al  0.5471  0.0343  0.8200
Si  0.1558  0.2414  0.5200
Si  0.2414  0.1558  0.0200
Si  0.7360  0.9346  0.5213
Si  0.9346  0.7360  0.0213
S  0.4434  0.6519  0.5146
S  0.6519  0.4434  0.0146
O  0.0507  0.1754  0.8357
O  0.1233  0.7479  0.0312
O  0.1306  0.4187  0.4874
O  0.1754  0.0507  0.3357
O  0.2015  0.3387  0.1951
O  0.2530  0.9662  0.0281
O  0.2803  0.6320  0.5047
O  0.3387  0.2015  0.6951
O  0.4145  0.6698  0.3443
O  0.4187  0.1306  0.9874
O  0.4663  0.8201  0.6752
O  0.4788  0.6028  0.0337
O  0.5429  0.9125  0.3440
O  0.6028  0.4788  0.5337
O  0.6320  0.2803  0.0047
O  0.6698  0.4145  0.8443
O  0.7010  0.9743  0.7017
O  0.7479  0.1233  0.5312
O  0.7620  0.9250  0.9944
O  0.8201  0.4663  0.1752
O  0.9125  0.5429  0.8440
O  0.9250  0.7620  0.4944
O  0.9662  0.2530  0.5281
O  0.9743  0.7010  0.2017